Starting from a structure optimized by DFT (GGA-PBE), the PXRD pattern of Li3RhN2 was simulated for CuKα.

a = 6.5650 Å, b = 7.5572 Å, c = 8.0851 Å
α = 90.00°, β = 120.23°, γ = 90.00°
Sites, in units of the cell vectors:
Li (0.0112, 0.1603, 0.1877)
Li (0.0112, 0.3397, 0.6877)
Li (0.2042, 0.5261, 0.0381)
Li (0.2042, 0.9739, 0.5381)
Li (0.3486, 0.1690, 0.0836)
Li (0.3486, 0.3310, 0.5836)
Li (0.6514, 0.6690, 0.4164)
Li (0.6514, 0.8310, 0.9164)
Li (0.7958, 0.0261, 0.4619)
Li (0.7958, 0.4739, 0.9619)
Li (0.9888, 0.6603, 0.3123)
Li (0.9888, 0.8397, 0.8123)
Rh (0.2219, 0.6526, 0.7013)
Rh (0.2219, 0.8474, 0.2013)
Rh (0.7781, 0.1526, 0.7987)
Rh (0.7781, 0.3474, 0.2987)
N (0.0333, 0.2088, 0.4639)
N (0.0333, 0.2912, 0.9639)
N (0.4469, 0.5295, 0.9192)
N (0.4469, 0.9705, 0.4192)
N (0.5531, 0.0295, 0.5808)
N (0.5531, 0.4705, 0.0808)
N (0.9667, 0.7088, 0.0361)
N (0.9667, 0.7912, 0.5361)

Most intense lines, 2θ from 5° to 70°, in order of falling intensity:
2θ/deg  I/Imax  h k l
19.57  100  1 1 0
18.54  88  1 1 -1
25.15  68  1 1 -2
26.82  57  0 2 1
36.38  47  2 2 -1
28.88  39  2 0 -2
43.05  28  2 2 -3
43.85  23  1 3 1
38.59  20  1 3 -1
46.86  19  2 1 -4